The following is a calculated XRD peak list of UCu6Pt6. It was derived from a PBE-relaxed structure, using copper Kα.
Neutral-atom scattering factors, no anomalous dispersion.

Peak list (6 most intense, 15 to 90 degrees two-theta, most intense first)
d [Å], I/Imax
2.476, 100
2.161, 85
2.553, 84
2.212, 79
2.189, 60
1.961, 54

Structural model:
a = 6.644 Å, b = 6.644 Å, c = 6.644 Å
α = 134.82°, β = 100.52°, γ = 96.46°
Element x y z (fractional)
U 0.000 0.000 0.000
Cu 0.000 0.000 0.500
Cu 0.000 0.500 0.000
Cu 0.243 0.743 0.500
Cu 0.500 0.000 0.000
Cu 0.500 0.500 0.500
Cu 0.757 0.257 0.500
Pt 0.182 0.500 0.682
Pt 0.333 0.000 0.333
Pt 0.343 0.343 0.000
Pt 0.657 0.657 0.000
Pt 0.667 0.000 0.667
Pt 0.818 0.500 0.318